K2TiSi3O9: computed powder diffraction line list (Cu Kα), based on DFT lattice parameters and positions (GGA-PBE).

Cell and atoms:
Lattice parameters (Å, degrees): 6.870 6.870 10.079 90.00 90.00 120.00
Atoms (fractional coordinates):
K  0.333  0.667  0.057
K  0.333  0.667  0.443
K  0.667  0.333  0.557
K  0.667  0.333  0.943
Ti  0.000  0.000  0.000
Ti  0.000  0.000  0.500
Si  0.129  0.377  0.750
Si  0.248  0.871  0.750
Si  0.377  0.248  0.250
Si  0.623  0.752  0.750
Si  0.752  0.129  0.250
Si  0.871  0.623  0.250
O  0.022  0.245  0.613
O  0.022  0.245  0.887
O  0.081  0.593  0.750
O  0.223  0.978  0.613
O  0.223  0.978  0.887
O  0.245  0.223  0.113
O  0.245  0.223  0.387
O  0.407  0.488  0.750
O  0.488  0.081  0.250
O  0.512  0.919  0.750
O  0.593  0.512  0.250
O  0.755  0.777  0.613
O  0.755  0.777  0.887
O  0.777  0.022  0.113
O  0.777  0.022  0.387
O  0.919  0.407  0.250
O  0.978  0.755  0.113
O  0.978  0.755  0.387

Peak list (10 most intense, 2θ from 10° to 90°, low angle first)
- 2θ = 14.89°, intensity 16
- 2θ = 23.13°, intensity 19
- 2θ = 25.94°, intensity 17
- 2θ = 27.43°, intensity 26
- 2θ = 30.56°, intensity 59
- 2θ = 31.35°, intensity 47
- 2θ = 31.52°, intensity 100
- 2θ = 41.13°, intensity 24
- 2θ = 49.38°, intensity 19
- 2θ = 54.69°, intensity 23



Na2TlHg: computed powder diffraction line list (Cu Kα), based on DFT lattice parameters and positions (GGA-PBE).

Cell and atoms:
Lattice parameters (Å, degrees): 5.355 5.355 5.355 60.00 60.00 60.00
Atoms (fractional coordinates):
Na  0.000  0.000  0.000
Na  0.250  0.250  0.250
Tl  0.750  0.750  0.750
Hg  0.500  0.500  0.500

Peak list (10 most intense, 2θ from 10° to 90°, low angle first)
- 2θ = 20.31°, intensity 68
- 2θ = 33.47°, intensity 100
- 2θ = 39.46°, intensity 39
- 2θ = 48.06°, intensity 18
- 2θ = 52.68°, intensity 18
- 2θ = 59.83°, intensity 38
- 2θ = 63.87°, intensity 13
- 2θ = 70.32°, intensity 12
- 2θ = 74.06°, intensity 13
- 2θ = 80.16°, intensity 17